Entry 1:
Diffraction record for LaTb5PmY2. The powder diffractogram is computed, not measured: it uses a structure optimized by DFT (GGA-PBE) and Cu Kα, 1.54184 Å.
No peak broadening, texture or thermal motion is included.

Top 8 peaks for 10° ≤ 2θ ≤ 80°, by angle:
2θ 28.57, d = 3.124 Å, intensity 92, (2 2 0); 2θ 30.80, d = 2.903 Å, intensity 100, (2 0 4); 2θ 32.08, d = 2.790 Å, intensity 13, (3 1 0); 2θ 42.65, d = 2.120 Å, intensity 18, (4 1 1); 2θ 45.95, d = 1.975 Å, intensity 15, (4 1 3); 2θ 47.15, d = 1.928 Å, intensity 11, (0 0 8); 2θ 52.07, d = 1.756 Å, intensity 22, (4 2 4); 2θ 56.11, d = 1.639 Å, intensity 18, (2 2 8)

Structural model:
abc: 8.823 8.823 15.422
angles: 90.00 90.00 90.00
Space group I4/mcm (No. 140)
Unique sites:
La 0.000 0.000 0.250 x4
Tb 0.000 0.000 0.000 x4
Tb 0.203 0.297 0.135 x16
Pm 0.000 0.500 0.250 x4
Y 0.117 0.383 0.500 x8

=====

Entry 2:
Diffraction record for La2Tb2PmY6. The powder diffractogram is computed, not measured: it uses a structure optimized by DFT (GGA-PBE) and Cu Kα, 1.54184 Å.
No peak broadening, texture or thermal motion is included.

Top 8 peaks for 10° ≤ 2θ ≤ 80°, by angle:
2θ 30.57, d = 2.925 Å, intensity 33, (0 4 1); 2θ 30.72, d = 2.911 Å, intensity 42, (1 1 3); 2θ 31.10, d = 2.875 Å, intensity 44, (2 0 0); 2θ 31.89, d = 2.807 Å, intensity 100, (1 3 2); 2θ 34.03, d = 2.635 Å, intensity 17, (0 0 4); 2θ 44.17, d = 2.050 Å, intensity 24, (2 4 1); 2θ 55.85, d = 1.646 Å, intensity 26, (3 3 2); 2θ 61.64, d = 1.505 Å, intensity 19, (1 7 3)

Structural model:
abc: 5.751 12.176 10.538
angles: 90.00 90.00 90.00
Space group Cmmm (No. 65)
Unique sites:
La 0.000 0.212 0.000 x4
Tb 0.000 0.130 0.500 x4
Pm 0.000 0.500 0.000 x2
Y 0.000 0.000 0.207 x4
Y 0.000 0.350 0.305 x8